Computed X-ray diffraction stick pattern
Compound: NaO
Radiation: Cu Kα
Structure: a structure optimized by DFT (PBE)
No peak broadening, texture or thermal motion is included.

Top 7 peaks for 10 to 90 degrees two-theta, by angle:
2θ 32.21, I = 7, hkl 1 1 1
2θ 37.37, I = 100, hkl 2 0 0
2θ 53.88, I = 58, hkl 2 2 0
2θ 64.18, I = 5, hkl 3 1 1
2θ 67.40, I = 17, hkl 2 2 2
2θ 79.69, I = 7, hkl 4 0 0
2θ 88.56, I = 2, hkl 3 3 1

Cell and atoms:
abc: 4.8130 4.8130 4.8130
angles: 90.00 90.00 90.00
Space group Fm-3m (No. 225)
Symmetry-distinct sites (fractional):
Na  0.0000  0.0000  0.0000 [4 per cell]
O  0.0000  0.0000  0.5000 [4 per cell]